Entry 1:
Diffraction record for CeNiSb3. The powder diffractogram is calculated, not measured: it uses the GGA-PBE geometry in the Materials Project and copper Kα.
Kinematic intensities with the Lorentz-polarization factor, no thermal factor.

Structural model:
```
CeNiSb3
1.0
12.534 0.000 0.000
0.000 6.259 0.000
0.000 0.000 12.232
Ce Ni Sb
8 8 24
direct
0.196 0.218 0.250 Ce
0.196 0.282 0.750 Ce
0.200 0.750 0.000 Ce
0.200 0.750 0.500 Ce
0.800 0.250 0.000 Ce
0.800 0.250 0.500 Ce
0.804 0.718 0.250 Ce
0.804 0.782 0.750 Ce
0.400 0.045 0.636 Ni
0.400 0.045 0.864 Ni
0.400 0.455 0.136 Ni
0.400 0.455 0.364 Ni
0.600 0.545 0.636 Ni
0.600 0.545 0.864 Ni
0.600 0.955 0.136 Ni
0.600 0.955 0.364 Ni
0.003 0.016 0.624 Sb
0.003 0.016 0.876 Sb
0.003 0.484 0.124 Sb
0.003 0.484 0.376 Sb
0.272 0.250 0.000 Sb
0.272 0.250 0.500 Sb
0.273 0.718 0.250 Sb
0.273 0.782 0.750 Sb
0.442 0.097 0.250 Sb
0.442 0.403 0.750 Sb
0.470 0.750 0.000 Sb
0.470 0.750 0.500 Sb
0.530 0.250 0.000 Sb
0.530 0.250 0.500 Sb
0.558 0.597 0.250 Sb
0.558 0.903 0.750 Sb
0.727 0.218 0.250 Sb
0.727 0.282 0.750 Sb
0.728 0.750 0.000 Sb
0.728 0.750 0.500 Sb
0.997 0.516 0.624 Sb
0.997 0.516 0.876 Sb
0.997 0.984 0.124 Sb
0.997 0.984 0.376 Sb
```

Peak list (10 most intense, 2θ from 10° to 90°, in order of falling intensity)
| hkl | two_theta | I/Imax |
| --- | --- | --- |
| 4 1 2 | 35.23 | 100 |
| 0 2 4 | 41.28 | 93 |
| 2 2 0 | 31.97 | 80 |
| 2 0 4 | 32.58 | 55 |
| 3 2 0 | 35.84 | 51 |
| 3 0 4 | 36.41 | 47 |
| 4 0 0 | 28.49 | 44 |
| 4 1 6 | 55.77 | 37 |
| 4 2 4 | 50.93 | 31 |
| 1 0 4 | 30.08 | 24 |

---

Entry 2:
Diffraction record for CeNiSb2. The powder diffractogram is calculated, not measured: it uses the GGA-PBE geometry in the Materials Project and copper Kα.
Kinematic intensities with the Lorentz-polarization factor, no thermal factor.

Structural model:
```
CeNiSb2
1.0
4.391 0.000 0.000
0.000 4.391 0.000
0.000 0.000 9.507
Ce Ni Sb
2 2 4
direct
0.250 0.250 0.235 Ce
0.750 0.750 0.765 Ce
0.250 0.750 0.000 Ni
0.750 0.250 0.000 Ni
0.250 0.250 0.856 Sb
0.250 0.750 0.500 Sb
0.750 0.250 0.500 Sb
0.750 0.750 0.144 Sb
```

Peak list (10 most intense, 2θ from 10° to 90°, in order of falling intensity)
| hkl | two_theta | I/Imax |
| --- | --- | --- |
| 1 1 2 | 34.50 | 100 |
| 2 0 0 | 41.12 | 49 |
| 1 0 3 | 34.92 | 26 |
| 3 1 2 | 70.68 | 24 |
| 1 1 1 | 30.28 | 23 |
| 2 2 0 | 59.55 | 16 |
| 0 0 3 | 28.16 | 14 |
| 1 0 5 | 52.44 | 14 |
| 2 1 3 | 55.02 | 14 |
| 2 1 5 | 68.72 | 13 |